1.
Diffraction record for LiMn3B3O9. The powder X-ray diffraction pattern is theoretical, not measured: it uses a GGA+U-relaxed structure and λ = 1.5418 Å (Cu Kα).

The 10 most intense peaks (10 to 90 degrees two-theta), by angle:
2θ 19.55, 4.541 Å, intensity 63; 2θ 20.25, 4.386 Å, intensity 19; 2θ 20.85, 4.261 Å, intensity 19; 2θ 22.41, 3.967 Å, intensity 100; 2θ 33.21, 2.697 Å, intensity 28; 2θ 34.51, 2.599 Å, intensity 16; 2θ 34.79, 2.578 Å, intensity 50; 2θ 37.30, 2.411 Å, intensity 20; 2θ 41.17, 2.193 Å, intensity 17; 2θ 51.04, 1.789 Å, intensity 14

Crystal structure
a b c (Å): 5.4007 8.1031 9.2805
angles (deg): 74.91 73.52 87.58
Atoms (fractional coordinates):
1 Li 0.0223 0.1153 0.3002
2 Li 0.9777 0.8847 0.6998
3 Mn 0.1620 0.8655 0.1038
4 Mn 0.1902 0.4700 0.2204
5 Mn 0.4575 0.2104 0.4577
6 Mn 0.5425 0.7896 0.5423
7 Mn 0.8098 0.5300 0.7796
8 Mn 0.8380 0.1345 0.8962
9 B 0.1004 0.7169 0.4340
10 B 0.2444 0.6607 0.8739
11 B 0.4336 0.0175 0.7771
12 B 0.5664 0.9825 0.2229
13 B 0.7556 0.3393 0.1261
14 B 0.8996 0.2831 0.5660
15 O 0.0089 0.6819 0.8519
16 O 0.0442 0.6910 0.3024
17 O 0.0935 0.2375 0.4493
18 O 0.2236 0.0298 0.9010
19 O 0.2874 0.6719 0.0129
20 O 0.3176 0.9943 0.2139
21 O 0.3376 0.6826 0.4542
22 O 0.3701 0.0069 0.6424
23 O 0.4624 0.6391 0.7552
24 O 0.5376 0.3609 0.2448
25 O 0.6299 0.9931 0.3576
26 O 0.6624 0.3174 0.5458
27 O 0.6824 0.0057 0.7861
28 O 0.7126 0.3281 0.9871
29 O 0.7764 0.9702 0.0990
30 O 0.9065 0.7625 0.5507
31 O 0.9558 0.3090 0.6976
32 O 0.9911 0.3181 0.1481

2.
Diffraction record for Mn2O3F. The powder X-ray diffraction pattern is theoretical, not measured: it uses a GGA+U-relaxed structure and λ = 1.5418 Å (Cu Kα).

The 10 most intense peaks (10 to 90 degrees two-theta), by angle:
2θ 26.91, 3.313 Å, intensity 91; 2θ 28.07, 3.179 Å, intensity 93; 2θ 35.66, 2.517 Å, intensity 100; 2θ 53.42, 1.715 Å, intensity 56; 2θ 54.71, 1.678 Å, intensity 27; 2θ 54.79, 1.676 Å, intensity 27; 2θ 55.47, 1.657 Å, intensity 18; 2θ 61.59, 1.506 Å, intensity 16; 2θ 68.77, 1.365 Å, intensity 19; 2θ 68.98, 1.361 Å, intensity 30

Crystal structure
a b c (Å): 5.4969 5.4969 4.5844
angles (deg): 91.99 91.99 66.44
Atoms (fractional coordinates):
1 Mn 0.0000 0.0000 0.0000
2 Mn 0.0000 0.5000 0.5000
3 Mn 0.5000 0.0000 0.5000
4 Mn 0.5000 0.5000 0.0000
5 O 0.1538 0.6562 0.8082
6 O 0.3424 0.3424 0.3081
7 O 0.3438 0.8462 0.1918
8 O 0.6562 0.1538 0.8082
9 O 0.6576 0.6576 0.6919
10 O 0.8462 0.3438 0.1918
11 F 0.1413 0.1413 0.7148
12 F 0.8587 0.8587 0.2852

3.
Diffraction record for BaLa2Fe2O7. The powder X-ray diffraction pattern is theoretical, not measured: it uses a GGA+U-relaxed structure and λ = 1.5418 Å (Cu Kα).

The 10 most intense peaks (10 to 90 degrees two-theta), by angle:
2θ 22.63, 3.928 Å, intensity 16; 2θ 25.74, 3.461 Å, intensity 19; 2θ 31.04, 2.881 Å, intensity 100; 2θ 31.63, 2.829 Å, intensity 66; 2θ 41.22, 2.190 Å, intensity 25; 2θ 45.34, 2.000 Å, intensity 42; 2θ 54.86, 1.674 Å, intensity 13; 2θ 55.96, 1.643 Å, intensity 38; 2θ 64.72, 1.440 Å, intensity 13; 2θ 66.06, 1.414 Å, intensity 14

Crystal structure
a b c (Å): 10.7575 10.7575 10.7575
angles (deg): 158.57 158.57 30.49
Atoms (fractional coordinates):
1 Ba 0.0000 0.0000 0.0000
2 La 0.1823 0.1823 0.0000
3 La 0.8177 0.8177 0.0000
4 Fe 0.4024 0.4024 0.0000
5 Fe 0.5976 0.5976 0.0000
6 O 0.1070 0.6070 0.5000
7 O 0.2941 0.2941 0.0000
8 O 0.3930 0.8930 0.5000
9 O 0.5000 0.5000 0.0000
10 O 0.6070 0.1070 0.5000
11 O 0.7059 0.7059 0.0000
12 O 0.8930 0.3930 0.5000

4.
Diffraction record for CsNaMoH2O4. The powder X-ray diffraction pattern is theoretical, not measured: it uses a GGA+U-relaxed structure and λ = 1.5418 Å (Cu Kα).

The 10 most intense peaks (10 to 90 degrees two-theta), by angle:
2θ 12.89, 6.866 Å, intensity 58; 2θ 17.12, 5.180 Å, intensity 27; 2θ 18.32, 4.844 Å, intensity 75; 2θ 22.50, 3.952 Å, intensity 71; 2θ 26.00, 3.427 Å, intensity 100; 2θ 26.08, 3.417 Å, intensity 40; 2θ 26.77, 3.330 Å, intensity 25; 2θ 28.44, 3.138 Å, intensity 21; 2θ 29.16, 3.062 Å, intensity 25; 2θ 37.15, 2.420 Å, intensity 55

Crystal structure
a b c (Å): 6.8326 7.9432 13.6682
angles (deg): 90.00 90.00 90.00
Atoms (fractional coordinates):
1 Cs 0.0634 0.1647 0.3552
2 Cs 0.4366 0.8353 0.8552
3 Cs 0.5634 0.3353 0.6448
4 Cs 0.9366 0.6647 0.1448
5 Na 0.1365 0.2293 0.0037
6 Na 0.3635 0.7707 0.5037
7 Na 0.6365 0.2707 0.9963
8 Na 0.8635 0.7293 0.4963
9 Mo 0.0593 0.0782 0.6377
10 Mo 0.4407 0.9218 0.1377
11 Mo 0.5593 0.4218 0.3623
12 Mo 0.9407 0.5782 0.8623
13 H 0.1175 0.5581 0.5942
14 H 0.1382 0.7030 0.3578
15 H 0.3618 0.2970 0.8578
16 H 0.3825 0.4419 0.0942
17 H 0.6175 0.9419 0.4058
18 H 0.6382 0.7970 0.6422
19 H 0.8618 0.2030 0.1422
20 H 0.8825 0.0581 0.9058
21 O 0.0470 0.2728 0.5724
22 O 0.0938 0.9101 0.5458
23 O 0.1669 0.5475 0.7993
24 O 0.2361 0.9164 0.2197
25 O 0.2639 0.0836 0.7197
26 O 0.3331 0.4525 0.2993
27 O 0.4062 0.0899 0.0458
28 O 0.4530 0.7272 0.0724
29 O 0.5470 0.2272 0.4276
30 O 0.5938 0.5899 0.4542
31 O 0.6669 0.9525 0.2007
32 O 0.7361 0.5836 0.7803
33 O 0.7639 0.4164 0.2803
34 O 0.8331 0.0475 0.7007
35 O 0.9062 0.4101 0.9542
36 O 0.9530 0.7728 0.9276